The following is a simulated XRD peak list of ZnAg2F5. It was derived from a cell relaxed with GGA-PBE, using copper Kα.
Lines closer than 0.1° are merged.

Largest 10 diffraction maxima, low angle first, 10° ≤ 2θ ≤ 90°:
2θ = 15.85°, d = 5.591 Å, rel. 48; 2θ = 21.76°, d = 4.084 Å, rel. 95; 2θ = 29.57°, d = 3.021 Å, rel. 100; 2θ = 31.50°, d = 2.841 Å, rel. 52; 2θ = 32.02°, d = 2.796 Å, rel. 21; 2θ = 33.23°, d = 2.696 Å, rel. 65; 2θ = 40.92°, d = 2.206 Å, rel. 34; 2θ = 41.15°, d = 2.193 Å, rel. 41; 2θ = 51.49°, d = 1.775 Å, rel. 40; 2θ = 52.53°, d = 1.742 Å, rel. 34

```
ZnAg2F5
1.0
2.193 -5.591 0.000
2.193 5.591 0.000
0.000 0.000 10.768
Zn Ag F
2 4 10
Cartesian
2.193 3.466 8.076
2.193 -3.466 2.692
2.193 3.979 0.876
2.193 3.979 4.508
2.193 -3.979 6.260
2.193 -3.979 9.893
2.193 4.785 6.619
2.193 4.785 9.533
2.193 2.560 2.692
2.193 1.988 6.568
2.193 1.988 9.584
2.193 -1.988 1.184
2.193 -1.988 4.200
2.193 -2.560 8.076
2.193 -4.785 1.235
2.193 -4.785 4.149
```

The following is a simulated XRD peak list of ZnAg2F8. It was derived from a cell relaxed with GGA-PBE, using copper Kα.
Lines closer than 0.1° are merged.

Largest 10 diffraction maxima, low angle first, 10° ≤ 2θ ≤ 90°:
2θ = 26.35°, d = 3.382 Å, rel. 91; 2θ = 27.02°, d = 3.300 Å, rel. 100; 2θ = 31.30°, d = 2.858 Å, rel. 11; 2θ = 46.10°, d = 1.969 Å, rel. 15; 2θ = 47.33°, d = 1.921 Å, rel. 44; 2θ = 47.74°, d = 1.905 Å, rel. 19; 2θ = 54.25°, d = 1.691 Å, rel. 19; 2θ = 55.71°, d = 1.650 Å, rel. 24; 2θ = 61.63°, d = 1.505 Å, rel. 18; 2θ = 62.65°, d = 1.483 Å, rel. 13

```
ZnAg2F8
1.0
6.600 0.000 0.000
-3.300 5.715 0.000
0.000 0.000 4.195
Zn Ag F
1 2 8
Cartesian
0.000 0.000 0.000
0.000 3.810 1.005
3.300 1.905 3.190
-1.830 4.857 1.037
0.008 1.702 1.037
1.479 0.844 3.158
0.000 3.810 3.104
3.300 1.905 1.091
1.821 4.872 1.037
3.291 4.013 3.158
5.130 0.859 3.158
```

The following is a simulated XRD peak list of Zr2ZnAg2F14. It was derived from a cell relaxed with GGA-PBE, using copper Kα.
Lines closer than 0.1° are merged.

Largest 10 diffraction maxima, low angle first, 10° ≤ 2θ ≤ 90°:
2θ = 21.50°, d = 4.133 Å, rel. 91; 2θ = 25.21°, d = 3.533 Å, rel. 100; 2θ = 26.45°, d = 3.370 Å, rel. 40; 2θ = 33.10°, d = 2.706 Å, rel. 19; 2θ = 33.62°, d = 2.666 Å, rel. 17; 2θ = 34.33°, d = 2.612 Å, rel. 14; 2θ = 43.63°, d = 2.075 Å, rel. 16; 2θ = 43.80°, d = 2.067 Å, rel. 24; 2θ = 45.93°, d = 1.976 Å, rel. 33; 2θ = 51.75°, d = 1.767 Å, rel. 15

```
Zr2ZnAg2F14
1.0
4.592 -3.370 0.000
4.592 3.370 0.000
-0.072 0.000 9.338
Zr Zn Ag F
2 1 2 14
Cartesian
0.956 0.000 1.906
8.157 0.000 7.432
4.592 0.000 0.000
2.801 0.000 5.709
6.311 0.000 3.629
0.000 0.000 0.000
1.625 1.210 3.531
7.487 -1.210 5.807
0.870 0.000 6.662
3.774 1.366 8.007
2.794 0.000 1.054
1.625 -1.210 3.531
5.338 1.366 1.331
4.556 0.000 4.669
3.774 -1.366 8.007
7.487 1.210 5.807
6.318 0.000 8.284
5.338 -1.366 1.331
8.242 0.000 2.676
```